This entry pairs a crystal structure of Ca3NdMn4O12 with its calculated X-ray powder pattern. Radiation: a wavelength of 1.5418 Å. Structure: a structure optimized by DFT (PBE+U).

Cell and atoms:
```
Ca3NdMn4O12
1.0
5.3855 0.0000 0.0000
0.0000 7.6570 0.0000
-0.0003 0.0000 5.4554
Ca Nd Mn O
3 1 4 12
Direct
0.0000 0.0000 0.0000
0.0198 0.5000 0.0863
0.5191 0.0000 0.4970
0.5017 0.5000 0.5850
0.0095 0.2461 0.5417
0.0095 0.7539 0.5417
0.5107 0.2464 0.0434
0.5107 0.7536 0.0434
0.0892 0.0000 0.5687
0.2244 0.2964 0.8273
0.2244 0.7036 0.8273
0.2997 0.2882 0.3305
0.2997 0.7118 0.3305
0.4293 0.0000 0.0598
0.5874 0.5000 0.0314
0.7147 0.2134 0.7478
0.7147 0.7866 0.7478
0.8011 0.2078 0.2520
0.8011 0.7922 0.2520
0.9388 0.5000 0.5228
```

Main lines, low angle first (2θ from 10° to 80°):
2theta	Rel. int.	h k l
11.56	15	0 1 0
26.00	16	1 1 -1
32.83	24	0 0 2
33.07	100	1 2 1
33.27	24	2 0 0
47.46	52	0 4 0
58.77	15	1 2 3
59.33	23	3 2 1
69.39	16	2 4 -2
79.06	13	1 6 1